(1)
Structure and theoretical PXRD pattern of Tb4Tm6Mg (a cell relaxed with PBE; CuKα).

Structure:
```
Tb4Tm6Mg
1.0
-3.218 3.218 8.413
3.218 -3.218 8.413
3.218 3.218 -8.413
Tb Tm Mg
4 6 1
Cartesian
2.088 2.088 -2.285
1.131 -1.131 10.698
1.131 1.131 6.128
-1.131 1.131 10.698
3.218 0.000 0.000
2.041 -2.041 5.603
1.178 1.178 2.810
0.000 3.218 0.000
-2.041 2.041 5.603
2.041 2.041 11.223
0.000 0.000 0.000
```

Largest 8 diffraction maxima, by intensity, 10 to 80 degrees two-theta:
Position (°2θ), d/Å, intensity
31.53, 2.837, 100
35.10, 2.557, 70
41.27, 2.188, 59
29.72, 3.006, 43
28.90, 3.089, 42
31.91, 2.804, 36
22.21, 4.003, 32
59.46, 1.555, 27


(2)
Structure and theoretical PXRD pattern of Tb3Tm2Mg8 (a cell relaxed with PBE; CuKα).

Structure:
```
Tb3Tm2Mg8
1.0
2.911 1.681 12.318
-2.911 1.681 12.318
0.000 -3.361 12.318
Tb Tm Mg
3 2 8
Cartesian
0.000 0.000 0.000
0.000 0.000 6.770
0.000 0.000 30.184
0.000 0.000 13.288
0.000 0.000 23.666
-1.458 -0.842 20.851
0.000 -1.684 16.103
-1.458 0.842 16.103
0.000 0.000 10.166
0.000 0.000 26.788
1.458 -0.842 20.851
0.000 1.684 20.851
1.458 0.842 16.103
```

Largest 8 diffraction maxima, by intensity, 10 to 80 degrees two-theta:
Position (°2θ), d/Å, intensity
32.01, 2.796, 100
30.72, 2.911, 91
34.07, 2.632, 78
21.33, 4.165, 73
14.38, 6.159, 55
55.44, 1.657, 42
37.70, 2.386, 27
44.96, 2.016, 24


(3)
Structure and theoretical PXRD pattern of TbTm6Mg (a cell relaxed with PBE; CuKα).

Structure:
```
TbTm6Mg
1.0
4.619 2.667 3.264
-4.619 2.667 3.264
0.000 -5.334 3.264
Tb Tm Mg
1 6 1
Cartesian
0.000 0.000 0.000
-2.403 0.153 2.700
1.069 -2.157 2.700
-1.334 -2.004 7.091
1.334 2.004 2.700
-1.069 2.157 7.091
2.403 -0.153 7.091
0.000 0.000 4.896
```

Largest 8 diffraction maxima, by intensity, 10 to 80 degrees two-theta:
Position (°2θ), d/Å, intensity
33.62, 2.666, 100
30.95, 2.889, 94
34.87, 2.573, 47
28.82, 3.098, 26
50.59, 1.804, 22
60.13, 1.539, 20
55.93, 1.644, 20
27.33, 3.264, 18


(4)
Structure and theoretical PXRD pattern of Tb5Tm4Mg2 (a cell relaxed with PBE; CuKα).

Structure:
```
Tb5Tm4Mg2
1.0
-1.708 4.383 11.427
1.708 -4.383 11.427
1.708 4.383 -11.427
Tb Tm Mg
5 4 2
Cartesian
0.000 0.000 0.000
1.708 1.748 -3.235
1.708 1.748 3.235
0.000 2.635 8.192
0.000 2.635 14.662
1.708 0.000 6.148
1.708 2.805 0.000
0.000 1.578 11.427
0.000 4.383 5.278
1.708 0.000 9.206
0.000 4.383 2.221
```

Largest 8 diffraction maxima, by intensity, 10 to 80 degrees two-theta:
Position (°2θ), d/Å, intensity
29.13, 3.065, 100
32.83, 2.728, 78
33.48, 2.676, 77
25.62, 3.478, 57
38.12, 2.360, 53
43.73, 2.070, 50
31.31, 2.857, 48
31.11, 2.875, 33


(5)
Structure and theoretical PXRD pattern of Tb6YMg2 (a cell relaxed with PBE; CuKα).

Structure:
```
Tb6YMg2
1.0
3.325 1.920 7.268
-3.325 1.920 7.268
0.000 -3.840 7.268
Tb Y Mg
6 1 2
Cartesian
-1.820 -0.640 7.268
-0.281 -1.903 11.117
-1.508 1.195 11.117
1.465 -1.256 7.268
0.356 1.897 7.268
1.789 0.708 11.117
0.000 0.000 17.167
0.000 0.000 1.298
0.000 0.000 20.208
```

Largest 8 diffraction maxima, by intensity, 10 to 80 degrees two-theta:
Position (°2θ), d/Å, intensity
31.33, 2.855, 100
24.49, 3.634, 65
29.54, 3.024, 47
37.42, 2.403, 40
36.63, 2.453, 32
32.15, 2.784, 30
42.76, 2.115, 27
32.68, 2.740, 22


(6)
Structure and theoretical PXRD pattern of Tb5YMg (a cell relaxed with PBE; CuKα).

Structure:
```
Tb5YMg
1.0
5.995 -2.744 0.000
5.995 2.744 0.000
-1.140 0.000 13.167
Tb Y Mg
10 2 2
Cartesian
0.619 0.000 1.739
0.061 0.000 8.326
2.417 0.000 5.612
1.847 0.000 12.194
4.115 0.000 2.583
6.736 0.000 10.584
9.004 0.000 0.973
8.434 0.000 7.555
10.790 0.000 4.841
10.232 0.000 11.427
3.570 0.000 9.171
7.281 0.000 3.995
5.995 0.000 0.000
5.425 0.000 6.583
```

Largest 8 diffraction maxima, by intensity, 10 to 80 degrees two-theta:
Position (°2θ), d/Å, intensity
31.77, 2.816, 100
32.03, 2.794, 68
32.63, 2.744, 36
46.22, 1.964, 22
30.01, 2.978, 17
57.85, 1.594, 13
57.67, 1.598, 13
56.88, 1.619, 12


(7)
Structure and theoretical PXRD pattern of Tb4Y15Mg (a cell relaxed with PBE; CuKα).

Structure:
```
Tb4Y15Mg
1.0
5.027 0.000 0.000
0.000 5.027 0.000
0.000 0.000 25.228
Tb Y Mg
4 15 1
Cartesian
0.000 0.000 2.545
0.000 0.000 7.615
0.000 0.000 17.612
0.000 0.000 22.682
0.000 2.513 0.000
0.000 2.513 5.083
0.000 2.513 10.145
0.000 2.513 15.082
0.000 2.513 20.144
2.513 0.000 0.000
2.513 0.000 5.083
2.513 0.000 10.145
2.513 0.000 15.082
2.513 0.000 20.144
2.513 2.513 2.547
2.513 2.513 7.666
2.513 2.513 12.614
2.513 2.513 17.562
2.513 2.513 22.681
0.000 0.000 12.614
```

Largest 8 diffraction maxima, by intensity, 10 to 80 degrees two-theta:
Position (°2θ), d/Å, intensity
30.77, 2.906, 100
35.72, 2.513, 33
61.12, 1.516, 27
51.31, 1.781, 23
35.59, 2.523, 17
60.94, 1.520, 13
64.09, 1.453, 12
51.41, 1.777, 12


(8)
Structure and theoretical PXRD pattern of Tb7Y3Mg (a cell relaxed with PBE; CuKα).

Structure:
```
Tb7Y3Mg
1.0
7.004 0.000 0.000
-3.502 6.065 0.000
0.000 0.000 8.586
Tb Y Mg
7 3 1
Cartesian
0.000 0.000 0.000
0.000 1.987 2.821
-1.781 5.072 2.821
3.502 0.004 0.017
1.754 3.031 0.017
1.781 5.072 2.821
5.249 3.031 0.017
1.738 1.003 5.725
5.266 1.003 5.725
3.502 4.059 5.725
3.502 2.022 2.832
```

Largest 8 diffraction maxima, by intensity, 10 to 80 degrees two-theta:
Position (°2θ), d/Å, intensity
31.27, 2.860, 100
36.27, 2.477, 52
62.14, 1.494, 42
52.23, 1.751, 35
10.30, 8.586, 17
65.24, 1.430, 12
17.91, 4.954, 9
25.43, 3.503, 7


(9)
Structure and theoretical PXRD pattern of Tb4Y5Mg2 (a cell relaxed with PBE; CuKα).

Structure:
```
Tb4Y5Mg2
1.0
8.969 0.000 0.000
0.000 21.163 0.000
0.000 0.000 3.574
Tb Y Mg
8 10 4
Cartesian
0.631 3.126 0.000
1.943 8.978 0.000
2.541 19.559 0.000
3.853 13.707 0.000
5.116 7.456 0.000
6.428 1.604 0.000
7.025 12.185 0.000
8.338 18.037 0.000
0.000 0.000 1.787
1.148 11.951 1.787
2.187 16.543 1.787
2.298 5.961 1.787
3.336 1.369 1.787
4.484 10.582 1.787
5.633 19.794 1.787
6.671 15.202 1.787
6.782 4.621 1.787
7.821 9.213 1.787
0.356 14.605 0.000
4.129 4.023 0.000
4.840 17.140 0.000
8.613 6.558 0.000
```

Largest 8 diffraction maxima, by intensity, 10 to 80 degrees two-theta:
Position (°2θ), d/Å, intensity
31.82, 2.812, 100
30.18, 2.961, 70
32.30, 2.772, 69
31.09, 2.877, 61
33.15, 2.702, 57
51.15, 1.786, 47
31.22, 2.865, 42
34.52, 2.598, 29


(10)
Structure and theoretical PXRD pattern of Tb2YMg9 (a cell relaxed with PBE; CuKα).

Structure:
```
Tb2YMg9
1.0
3.021 1.744 9.705
-3.021 1.744 9.705
0.000 -3.489 9.705
Tb Y Mg
2 1 9
Cartesian
0.000 0.000 4.146
0.000 0.000 24.971
0.000 0.000 0.000
-1.533 -0.885 12.149
0.000 0.000 9.727
0.000 -1.770 16.967
-1.533 0.885 16.967
0.000 0.000 14.558
1.533 -0.885 12.149
0.000 1.770 12.149
0.000 0.000 19.390
1.533 0.885 16.967
```

Largest 8 diffraction maxima, by intensity, 10 to 80 degrees two-theta:
Position (°2θ), d/Å, intensity
34.98, 2.565, 100
27.39, 3.256, 88
29.57, 3.021, 86
17.22, 5.151, 62
29.90, 2.988, 46
34.41, 2.606, 42
51.14, 1.786, 32
20.91, 4.249, 29


(11)
Structure and theoretical PXRD pattern of Tb2Y2Mg15 (a cell relaxed with PBE; CuKα).

Structure:
```
Tb2Y2Mg15
1.0
5.242 3.026 5.079
-5.242 3.026 5.079
0.000 -6.053 5.079
Tb Y Mg
2 2 15
Cartesian
0.000 0.000 1.508
0.000 0.000 13.728
0.000 0.000 5.032
0.000 0.000 10.203
-5.242 0.000 7.618
-1.574 -3.327 5.079
-2.621 1.513 2.539
-3.668 0.301 5.079
-2.543 -1.468 7.329
1.574 -3.327 5.079
-2.094 3.026 5.079
0.000 -2.936 7.906
-2.543 1.468 7.906
2.621 1.513 2.539
2.543 -1.468 7.329
0.000 2.936 7.329
3.668 0.301 5.079
2.094 3.026 5.079
2.543 1.468 7.906
```

Largest 8 diffraction maxima, by intensity, 10 to 80 degrees two-theta:
Position (°2θ), d/Å, intensity
16.91, 5.242, 100
29.52, 3.026, 69
34.21, 2.621, 66
11.35, 7.799, 63
35.48, 2.530, 40
30.64, 2.918, 35
39.55, 2.278, 31
35.20, 2.549, 31


(12)
Structure and theoretical PXRD pattern of Tb5Y6Mg2 (a cell relaxed with PBE; CuKα).

Structure:
```
Tb5Y6Mg2
1.0
10.351 0.000 0.000
0.000 22.569 0.000
0.000 0.000 3.557
Tb Y Mg
10 12 4
Cartesian
0.000 0.000 0.000
0.801 5.676 0.000
1.729 11.395 0.000
3.447 0.110 0.000
4.374 16.960 0.000
5.176 11.284 0.000
5.977 5.608 0.000
6.904 22.459 0.000
8.623 11.174 0.000
9.550 16.893 0.000
0.172 8.744 1.778
1.508 2.667 1.778
1.747 19.535 0.000
3.429 8.250 0.000
3.668 13.951 1.778
5.003 20.028 1.778
5.348 2.541 1.778
6.684 8.618 1.778
6.923 14.318 0.000
8.604 3.034 0.000
8.843 19.902 1.778
10.179 13.825 1.778
1.781 16.687 1.778
3.395 5.403 1.778
6.956 17.166 1.778
8.570 5.882 1.778
```

Largest 8 diffraction maxima, by intensity, 10 to 80 degrees two-theta:
Position (°2θ), d/Å, intensity
29.69, 3.009, 100
28.46, 3.136, 87
32.68, 2.740, 87
31.72, 2.821, 86
36.52, 2.460, 86
32.79, 2.731, 64
51.88, 1.762, 36
34.48, 2.601, 29